Record 1
This entry pairs a crystal structure of Li4MnF7 with its theoretical X-ray diffraction stick pattern. Radiation: Cu Kα (λ = 1.5418 Å). Structure: DFT lattice parameters and positions (GGA+U).

Structural model:
```
Li4MnF7
1.0
0.0000 4.2293 4.2293
4.2293 0.0000 4.2293
4.2293 4.2293 0.0000
Li Mn F
4 1 7
direct
0.3764 0.3764 0.3764
0.3764 0.3764 0.8707
0.3764 0.8707 0.3764
0.8707 0.3764 0.3764
0.7500 0.7500 0.7500
0.5000 0.5000 0.5000
0.5140 0.5140 0.9860
0.5140 0.9860 0.5140
0.5140 0.9860 0.9860
0.9860 0.5140 0.5140
0.9860 0.5140 0.9860
0.9860 0.9860 0.5140
```

Most intense lines, 2θ = 10–80°, most intense first:
Position (°2θ), I_rel
18.2, 100.0
21.0, 71.8
42.8, 48.3
35.2, 46.6
62.1, 39.1
48.1, 25.8
36.8, 24.6
56.5, 21.8
65.3, 13.6
29.9, 13.5

***

Record 2
This entry pairs a crystal structure of Li2Mn7F18 with its theoretical X-ray diffraction stick pattern. Radiation: Cu Kα (λ = 1.5418 Å). Structure: DFT lattice parameters and positions (GGA+U).

Structural model:
```
Li2Mn7F18
1.0
7.2261 0.0000 0.0000
-3.4850 6.8324 0.0000
-0.4491 -1.2056 7.8005
Li Mn F
2 7 18
direct
0.1346 0.1500 0.4280
0.8654 0.8500 0.5720
0.1167 0.7327 0.1263
0.2827 0.1121 0.8227
0.3145 0.6055 0.7872
0.5000 0.0000 0.5000
0.6855 0.3945 0.2128
0.7173 0.8879 0.1773
0.8833 0.2673 0.8737
0.0311 0.4546 0.6840
0.0410 0.9616 0.2018
0.1840 0.9671 0.5511
0.1894 0.4948 0.9951
0.2235 0.8330 0.8930
0.3377 0.3538 0.6981
0.4199 0.8611 0.2477
0.4243 0.2553 0.0715
0.4354 0.7393 0.5994
0.5646 0.2607 0.4006
0.5757 0.7447 0.9285
0.5801 0.1389 0.7523
0.6623 0.6462 0.3019
0.7765 0.1670 0.1070
0.8106 0.5052 0.0049
0.8160 0.0329 0.4489
0.9590 0.0384 0.7982
0.9689 0.5454 0.3160
```

Most intense lines, 2θ = 10–80°, most intense first:
Position (°2θ), I_rel
19.0, 100.0
16.0, 52.8
27.1, 51.6
11.3, 47.1
14.0, 43.9
34.5, 39.7
25.0, 38.9
31.5, 37.9
51.3, 32.2
51.6, 26.7

***

Record 3
This entry pairs a crystal structure of LiMn2F7 with its theoretical X-ray diffraction stick pattern. Radiation: Cu Kα (λ = 1.5418 Å). Structure: DFT lattice parameters and positions (GGA+U).

Structural model:
```
LiMn2F7
1.0
5.2602 0.0000 0.0000
0.0000 5.5326 0.0000
-1.7713 0.0000 9.6716
Li Mn F
2 4 14
direct
0.0000 0.0839 0.2500
0.0000 0.9161 0.7500
0.4330 0.2547 0.5707
0.4330 0.7453 0.0707
0.5671 0.2547 0.9293
0.5671 0.7453 0.4293
0.1706 0.1006 0.6350
0.1706 0.8994 0.1350
0.2777 0.4046 0.9809
0.2777 0.5954 0.4809
0.3367 0.1026 0.3948
0.3367 0.8974 0.8948
0.5000 0.4137 0.7500
0.5000 0.5863 0.2500
0.6633 0.1026 0.1052
0.6633 0.8974 0.6052
0.7223 0.4046 0.5191
0.7223 0.5954 0.0191
0.8294 0.1006 0.8650
0.8294 0.8994 0.3650
```

Most intense lines, 2θ = 10–80°, most intense first:
Position (°2θ), I_rel
17.1, 100.0
24.1, 44.6
18.3, 43.0
18.5, 40.3
32.1, 25.6
38.8, 21.6
58.8, 19.3
38.0, 17.6
27.4, 16.4
39.0, 16.0

***

Record 4
This entry pairs a crystal structure of LiMnF3 with its theoretical X-ray diffraction stick pattern. Radiation: Cu Kα (λ = 1.5418 Å). Structure: DFT lattice parameters and positions (GGA+U).

Structural model:
```
LiMnF3
1.0
7.0296 0.0000 0.0000
-0.2448 8.0038 0.0000
-0.8292 -3.4165 11.7625
Li Mn F
10 10 30
direct
0.0005 0.1979 0.1382
0.1287 0.2594 0.4720
0.1973 0.4587 0.7411
0.2422 0.7367 0.0857
0.3470 0.9139 0.3494
0.6530 0.0861 0.6506
0.7578 0.2633 0.9143
0.8027 0.5413 0.2589
0.8713 0.7406 0.5280
0.9995 0.8021 0.8618
0.0736 0.0674 0.6768
0.2586 0.2779 0.9756
0.3073 0.4858 0.2661
0.3784 0.6887 0.5594
0.4581 0.9017 0.8456
0.5419 0.0983 0.1544
0.6216 0.3113 0.4406
0.6927 0.5142 0.7339
0.7414 0.7221 0.0244
0.9264 0.9326 0.3232
0.0242 0.4188 0.2402
0.0248 0.7308 0.9938
0.0962 0.2861 0.6196
0.1167 0.7858 0.6081
0.1651 0.8549 0.2251
0.1736 0.0260 0.4423
0.1805 0.9736 0.8531
0.2654 0.2859 0.8128
0.2759 0.1938 0.1374
0.3286 0.4127 0.4421
0.3333 0.5195 0.1003
0.4031 0.7132 0.3930
0.4082 0.6201 0.7295
0.4609 0.8451 0.0280
0.4659 0.9370 0.6799
0.5341 0.0630 0.3201
0.5391 0.1549 0.9720
0.5918 0.3799 0.2705
0.5969 0.2868 0.6070
0.6667 0.4805 0.8997
0.6714 0.5873 0.5579
0.7241 0.8062 0.8626
0.7346 0.7141 0.1872
0.8195 0.0264 0.1469
0.8264 0.9740 0.5577
0.8349 0.1451 0.7749
0.8833 0.2142 0.3919
0.9038 0.7139 0.3804
0.9752 0.2692 0.0062
0.9758 0.5812 0.7598
```

Most intense lines, 2θ = 10–80°, most intense first:
Position (°2θ), I_rel
17.4, 100.0
31.1, 26.6
25.4, 23.6
41.0, 23.2
29.3, 22.9
39.8, 21.5
38.9, 20.2
27.4, 16.9
40.5, 15.3
51.2, 13.7

***

Record 5
This entry pairs a crystal structure of LiMnF3 with its theoretical X-ray diffraction stick pattern. Radiation: Cu Kα (λ = 1.5418 Å). Structure: DFT lattice parameters and positions (GGA+U).

Structural model:
```
LiMnF3
1.0
8.4434 0.0000 0.0000
0.0000 5.4141 0.0000
0.0000 0.0000 5.2590
Li Mn F
4 4 12
direct
0.0052 0.1306 0.0000
0.4948 0.6306 0.5000
0.5052 0.3694 0.0000
0.9948 0.8694 0.5000
0.1751 0.6445 0.0360
0.3249 0.1445 0.5360
0.6751 0.8555 0.0360
0.8249 0.3555 0.5360
0.0062 0.4367 0.8271
0.1573 0.9914 0.2582
0.1581 0.9420 0.7612
0.3419 0.4420 0.2612
0.3427 0.4914 0.7582
0.4938 0.9367 0.3271
0.5062 0.0633 0.8271
0.6573 0.5086 0.2582
0.6581 0.5580 0.7612
0.8419 0.0580 0.2612
0.8427 0.0086 0.7582
0.9938 0.5633 0.3271
```

Most intense lines, 2θ = 10–80°, most intense first:
Position (°2θ), I_rel
50.4, 100.0
27.1, 91.7
25.9, 88.6
23.6, 85.9
26.8, 79.2
49.5, 60.4
31.8, 60.2
49.9, 40.7
38.9, 32.7
61.0, 27.0

***

Record 6
This entry pairs a crystal structure of Li3MnF6 with its theoretical X-ray diffraction stick pattern. Radiation: Cu Kα (λ = 1.5418 Å). Structure: DFT lattice parameters and positions (GGA+U).

Structural model:
```
Li3MnF6
1.0
2.4712 -4.3523 0.0000
2.4712 4.3523 0.0000
-0.1413 0.0000 4.9841
Li Mn F
3 1 6
direct
0.0000 0.0000 0.0000
0.3213 0.6787 0.0000
0.6787 0.3213 0.0000
0.0000 0.0000 0.5000
0.0125 0.3163 0.7740
0.2926 0.2926 0.2695
0.3163 0.0125 0.7740
0.6837 0.9875 0.2260
0.7074 0.7074 0.7305
0.9875 0.6837 0.2260
```

Most intense lines, 2θ = 10–80°, most intense first:
Position (°2θ), I_rel
20.7, 100.0
40.6, 69.0
20.4, 49.2
27.2, 44.4
51.4, 35.6
40.3, 27.8
27.1, 27.0
27.7, 23.4
65.1, 18.5
52.2, 16.6